Starting from a PBE-relaxed structure, the powder X-ray diffraction pattern of Cs was computed for Cu Kα, 1.54184 Å.

Top 10 peaks for 2θ from 5° to 70°, in order of rising 2θ:
| (hkl) | 2θ/deg | d [Å] | I_rel |
| --- | --- | --- | --- |
| 1 1 0 | 20.56 | 4.320 | 100.0 |
| 2 0 0 | 29.23 | 3.055 | 20.8 |
| 2 1 1 | 36.01 | 2.494 | 47.3 |
| 2 2 0 | 41.82 | 2.160 | 15.4 |
| 3 1 0 | 47.03 | 1.932 | 21.9 |
| 2 2 2 | 51.83 | 1.764 | 5.5 |
| 3 2 1 | 56.34 | 1.633 | 25.6 |
| 4 0 0 | 60.62 | 1.528 | 2.6 |
| 4 1 1 | 64.73 | 1.440 | 12.7 |
| 4 2 0 | 68.70 | 1.366 | 7.1 |

Structure:
```
data_Cs
_chemical_formula_sum 'Cs2'
_cell_length_a 6.1100
_cell_length_b 6.1100
_cell_length_c 6.1100
_cell_angle_alpha 90.00
_cell_angle_beta 90.00
_cell_angle_gamma 90.00
_space_group_name_H-M_alt 'I m -3 m'
_space_group_IT_number 229
_space_group_name_Hall '-I 4 2 3'
loop_
_atom_site_label
_atom_site_fract_x
_atom_site_fract_y
_atom_site_fract_z
Cs1 0.0000 0.0000 0.0000
```

Starting from a PBE-relaxed structure, the powder X-ray diffraction pattern of SnPPd5 was computed for Cu Kα, 1.54184 Å.

Top 10 peaks for 2θ from 5° to 70°, in order of rising 2θ:
| (hkl) | 2θ/deg | d [Å] | I_rel |
| --- | --- | --- | --- |
| 0 0 1 | 12.58 | 7.039 | 4.4 |
| 1 1 0 | 31.62 | 2.829 | 8.1 |
| 1 1 1 | 34.16 | 2.625 | 48.7 |
| 0 0 3 | 38.36 | 2.346 | 24.1 |
| 1 1 2 | 40.93 | 2.205 | 100.0 |
| 2 0 0 | 45.33 | 2.001 | 47.7 |
| 1 1 3 | 50.54 | 1.806 | 3.0 |
| 0 0 4 | 51.96 | 1.760 | 5.3 |
| 2 0 3 | 60.85 | 1.522 | 24.7 |
| 2 2 0 | 66.05 | 1.415 | 15.3 |

Structure:
```
data_SnPPd5
_chemical_formula_sum 'Sn1 P1 Pd5'
_cell_length_a 4.0011
_cell_length_b 4.0011
_cell_length_c 7.0391
_cell_angle_alpha 90.00
_cell_angle_beta 90.00
_cell_angle_gamma 90.00
_space_group_name_H-M_alt 'P 4/m m m'
_space_group_IT_number 123
_space_group_name_Hall '-P 4 2'
loop_
_atom_site_label
_atom_site_fract_x
_atom_site_fract_y
_atom_site_fract_z
Sn1 0.0000 0.0000 0.0000
P1 0.5000 0.5000 0.5000
Pd1 0.0000 0.5000 0.2995
Pd2 0.5000 0.5000 0.0000
```

Starting from a PBE-relaxed structure, the powder X-ray diffraction pattern of LaLuS3 was computed for Cu Kα, 1.54184 Å.

Top 10 peaks for 2θ from 5° to 70°, in order of rising 2θ:
| (hkl) | 2θ/deg | d [Å] | I_rel |
| --- | --- | --- | --- |
| 1 1 1 | 20.08 | 4.422 | 13.3 |
| 2 0 0 | 24.27 | 3.668 | 17.8 |
| 1 2 1 | 25.48 | 3.496 | 100.0 |
| 0 0 2 | 26.64 | 3.347 | 21.6 |
| 0 4 0 | 36.35 | 2.472 | 35.6 |
| 3 0 1 | 39.22 | 2.297 | 14.9 |
| 2 2 2 | 40.81 | 2.211 | 13.2 |
| 0 4 2 | 45.63 | 1.988 | 14.4 |
| 1 2 3 | 46.33 | 1.960 | 29.0 |
| 1 6 1 | 59.10 | 1.563 | 13.9 |

Structure:
```
data_LaLuS3
_chemical_formula_sum 'La4 Lu4 S12'
_cell_length_a 7.3357
_cell_length_b 9.8847
_cell_length_c 6.6935
_cell_angle_alpha 90.00
_cell_angle_beta 90.00
_cell_angle_gamma 90.00
_space_group_name_H-M_alt 'P n m a'
_space_group_IT_number 62
_space_group_name_Hall '-P 2ac 2n'
loop_
_atom_site_label
_atom_site_fract_x
_atom_site_fract_y
_atom_site_fract_z
La1 0.0944 0.2500 0.0353
Lu1 0.0000 0.0000 0.5000
S1 0.0458 0.7500 0.3649
S2 0.1904 0.5678 0.8227
```

Starting from a PBE-relaxed structure, the powder X-ray diffraction pattern of U3O8 was computed for Cu Kα, 1.54184 Å.

Top 10 peaks for 2θ from 5° to 70°, in order of rising 2θ:
| (hkl) | 2θ/deg | d [Å] | I_rel |
| --- | --- | --- | --- |
| 0 0 1 | 21.36 | 4.161 | 58.8 |
| 1 1 0 | 26.06 | 3.419 | 100.0 |
| 1 1 1 | 33.93 | 2.642 | 75.2 |
| 0 0 2 | 43.50 | 2.080 | 12.1 |
| 3 0 0 | 45.98 | 1.974 | 29.8 |
| 3 0 1 | 51.22 | 1.784 | 30.6 |
| 1 1 2 | 51.41 | 1.777 | 32.5 |
| 2 2 0 | 53.60 | 1.710 | 14.2 |
| 2 2 1 | 58.35 | 1.581 | 17.7 |
| 3 0 2 | 65.14 | 1.432 | 18.7 |

Structure:
```
data_U3O8
_chemical_formula_sum 'U3 O8'
_cell_length_a 6.8390
_cell_length_b 6.8390
_cell_length_c 4.1607
_cell_angle_alpha 90.00
_cell_angle_beta 90.00
_cell_angle_gamma 120.00
_space_group_name_H-M_alt 'P -6 2 m'
_space_group_IT_number 189
_space_group_name_Hall 'P -6 -2'
loop_
_atom_site_label
_atom_site_fract_x
_atom_site_fract_y
_atom_site_fract_z
U1 0.0000 0.3512 0.0000
O1 0.0000 0.3577 0.5000
O2 0.0000 0.7483 0.0000
O3 0.3333 0.6667 0.0000
```

Starting from a PBE-relaxed structure, the powder X-ray diffraction pattern of MgAl2O4 was computed for Cu Kα, 1.54184 Å.

Top 9 peaks for 2θ from 5° to 70°, in order of rising 2θ:
| (hkl) | 2θ/deg | d [Å] | I_rel |
| --- | --- | --- | --- |
| 1 1 1 | 18.81 | 4.717 | 36.6 |
| 2 2 0 | 30.96 | 2.889 | 34.0 |
| 3 1 1 | 36.47 | 2.464 | 100.0 |
| 2 2 2 | 38.15 | 2.359 | 1.2 |
| 4 0 0 | 44.35 | 2.043 | 59.3 |
| 4 2 2 | 55.06 | 1.668 | 9.5 |
| 5 1 1 | 58.72 | 1.572 | 52.5 |
| 4 4 0 | 64.52 | 1.444 | 79.7 |
| 5 3 1 | 67.86 | 1.381 | 4.1 |

Structure:
Lattice parameters (Å, degrees): 8.1707 8.1707 8.1707 90.00 90.00 90.00
Space group Fd-3m (No. 227, origin choice 2)
Symmetry-distinct sites (fractional):
Mg 0.1250 0.1250 0.1250 x8
Al 0.0000 0.0000 0.5000 x16
O 0.0136 0.0136 0.7364 x32

Starting from a PBE-relaxed structure, the powder X-ray diffraction pattern of LiAl3 was computed for Cu Kα, 1.54184 Å.

Top 10 peaks for 2θ from 5° to 70°, in order of rising 2θ:
| (hkl) | 2θ/deg | d [Å] | I_rel |
| --- | --- | --- | --- |
| 0 0 2 | 21.70 | 4.095 | 7.9 |
| 1 0 1 | 24.78 | 3.593 | 22.4 |
| 1 1 0 | 31.65 | 2.827 | 5.8 |
| 1 1 2 | 38.70 | 2.327 | 100.0 |
| 1 0 3 | 39.99 | 2.254 | 5.9 |
| 0 0 4 | 44.24 | 2.047 | 16.9 |
| 2 0 0 | 45.36 | 1.999 | 31.3 |
| 2 1 1 | 52.37 | 1.747 | 5.2 |
| 2 0 4 | 65.23 | 1.430 | 21.0 |
| 2 2 0 | 66.10 | 1.414 | 10.1 |

Structure:
```
data_LiAl3
_chemical_formula_sum 'Li2 Al6'
_cell_length_a 3.9983
_cell_length_b 3.9983
_cell_length_c 8.1891
_cell_angle_alpha 90.00
_cell_angle_beta 90.00
_cell_angle_gamma 90.00
_space_group_name_H-M_alt 'I 4/m m m'
_space_group_IT_number 139
_space_group_name_Hall '-I 4 2'
loop_
_atom_site_label
_atom_site_fract_x
_atom_site_fract_y
_atom_site_fract_z
Li1 0.0000 0.0000 0.0000
Al1 0.0000 0.0000 0.5000
Al2 0.0000 0.5000 0.2500
```